LiVP2O7: theoretical XRD peak list (Cu Kα X-rays), based on a PBE+U-relaxed structure.

Atomic structure:
```
LiVP2O7
1.0
6.461 0.000 0.000
2.720 8.927 0.000
0.761 4.423 9.635
Li V P O
4 4 8 28
Direct
0.000 0.000 0.000 Li
0.080 0.444 0.625 Li
0.531 0.013 0.513 Li
0.689 0.796 0.083 Li
0.019 0.429 0.350 V
0.298 0.429 0.859 V
0.368 0.829 0.818 V
0.931 0.030 0.371 V
0.069 0.237 0.136 P
0.237 0.631 0.064 P
0.341 0.734 0.554 P
0.533 0.378 0.304 P
0.574 0.108 0.803 P
0.726 0.740 0.394 P
0.771 0.484 0.899 P
0.953 0.123 0.642 P
0.010 0.080 0.157 O
0.036 0.610 0.145 O
0.044 0.268 0.558 O
0.080 0.229 0.286 O
0.088 0.005 0.779 O
0.198 0.847 0.421 O
0.228 0.631 0.916 O
0.261 0.590 0.655 O
0.264 0.271 0.055 O
0.290 0.794 0.031 O
0.333 0.398 0.388 O
0.369 0.242 0.799 O
0.385 0.840 0.622 O
0.442 0.478 0.143 O
0.519 0.000 0.739 O
0.568 0.650 0.508 O
0.614 0.399 0.880 O
0.628 0.197 0.328 O
0.633 0.809 0.249 O
0.661 0.661 0.881 O
0.704 0.451 0.323 O
0.706 0.006 0.940 O
0.723 0.206 0.688 O
0.752 0.871 0.439 O
0.862 0.393 0.061 O
0.915 0.031 0.560 O
0.939 0.596 0.431 O
0.973 0.459 0.816 O
```

Most intense lines, 15 to 90 degrees two-theta, by intensity:
hkl 1 2 2, d = 3.827 Å, 2θ 23.24, I = 100
hkl 1 0 1, d = 5.064 Å, 2θ 17.51, I = 90
hkl 0 0 2, d = 4.817 Å, 2θ 18.42, I = 68
hkl 0 2 2, d = 4.044 Å, 2θ 21.98, I = 65
hkl 1 2 1, d = 4.248 Å, 2θ 20.91, I = 62
hkl 0 1 -2, d = 3.540 Å, 2θ 25.15, I = 52
hkl 1 -1 0, d = 4.344 Å, 2θ 20.45, I = 49
hkl 0 3 2, d = 2.939 Å, 2θ 30.42, I = 46
hkl 1 0 -1, d = 5.339 Å, 2θ 16.61, I = 42
hkl 2 2 -1, d = 2.600 Å, 2θ 34.50, I = 40
hkl 0 0 4, d = 2.408 Å, 2θ 37.34, I = 39
hkl 0 1 -1, d = 5.219 Å, 2θ 16.99, I = 35


LiVP2O7: theoretical XRD peak list (Cu Kα X-rays), based on a PBE+U-relaxed structure.

Atomic structure:
```
LiVP2O7
1.0
6.544 0.000 0.000
1.226 7.497 0.000
3.171 0.256 10.316
Li V P O
4 4 8 28
Direct
0.086 0.085 0.086 Li
0.414 0.414 0.414 Li
0.586 0.586 0.586 Li
0.914 0.915 0.914 Li
0.094 0.094 0.594 V
0.406 0.406 0.906 V
0.594 0.594 0.094 V
0.906 0.906 0.406 V
0.058 0.615 0.163 P
0.071 0.679 0.625 P
0.429 0.822 0.875 P
0.442 0.885 0.337 P
0.558 0.115 0.663 P
0.571 0.178 0.125 P
0.929 0.321 0.375 P
0.942 0.385 0.837 P
0.039 0.780 0.240 O
0.050 0.442 0.255 O
0.064 0.856 0.691 O
0.087 0.295 0.460 O
0.110 0.370 0.910 O
0.206 0.917 0.939 O
0.210 0.927 0.432 O
0.290 0.573 0.068 O
0.294 0.583 0.561 O
0.390 0.131 0.590 O
0.413 0.204 0.040 O
0.436 0.644 0.809 O
0.451 0.058 0.245 O
0.460 0.720 0.261 O
0.540 0.280 0.739 O
0.549 0.942 0.755 O
0.564 0.356 0.191 O
0.587 0.796 0.960 O
0.610 0.869 0.410 O
0.706 0.417 0.439 O
0.710 0.427 0.932 O
0.790 0.073 0.568 O
0.794 0.083 0.061 O
0.890 0.630 0.090 O
0.913 0.705 0.540 O
0.936 0.144 0.309 O
0.950 0.558 0.745 O
0.961 0.220 0.760 O
```

Most intense lines, 15 to 90 degrees two-theta, by intensity:
hkl 2 0 2, d = 3.069 Å, 2θ 29.10, I = 100
hkl 0 2 -2, d = 2.996 Å, 2θ 29.82, I = 71
hkl 2 0 0, d = 3.094 Å, 2θ 28.86, I = 66
hkl 1 0 -1, d = 4.740 Å, 2θ 18.72, I = 39
hkl 1 1 2, d = 4.230 Å, 2θ 21.00, I = 28
hkl 4 0 2, d = 1.614 Å, 2θ 57.05, I = 25
hkl 3 1 2, d = 2.150 Å, 2θ 42.02, I = 20
hkl 1 2 1, d = 3.456 Å, 2θ 25.78, I = 20
hkl 0 4 0, d = 1.874 Å, 2θ 48.59, I = 15
hkl 2 2 0, d = 2.579 Å, 2θ 34.78, I = 14
hkl 0 3 -3, d = 1.998 Å, 2θ 45.40, I = 14
hkl 2 1 -1, d = 2.694 Å, 2θ 33.26, I = 13


LiVP2O7: theoretical XRD peak list (Cu Kα X-rays), based on a PBE+U-relaxed structure.

Atomic structure:
```
LiVP2O7
1.0
7.521 0.000 0.000
2.882 7.058 0.000
2.569 1.667 9.543
Li V P O
4 4 8 28
Direct
0.000 0.000 0.000 Li
0.242 0.895 0.460 Li
0.498 0.502 0.500 Li
0.744 0.393 0.959 Li
0.303 0.254 0.231 V
0.438 0.141 0.729 V
0.802 0.754 0.731 V
0.937 0.640 0.229 V
0.100 0.414 0.533 P
0.141 0.481 0.927 P
0.354 0.661 0.204 P
0.386 0.736 0.757 P
0.600 0.915 0.033 P
0.641 0.980 0.427 P
0.856 0.159 0.703 P
0.887 0.234 0.256 P
0.000 0.252 0.583 O
0.092 0.132 0.299 O
0.120 0.448 0.089 O
0.121 0.447 0.371 O
0.148 0.763 0.161 O
0.241 0.642 0.877 O
0.272 0.299 0.870 O
0.300 0.946 0.782 O
0.302 0.335 0.573 O
0.363 0.689 0.345 O
0.378 0.707 0.615 O
0.439 0.061 0.387 O
0.440 0.450 0.178 O
0.471 0.097 0.089 O
0.496 0.756 0.083 O
0.591 0.632 0.800 O
0.620 0.948 0.589 O
0.621 0.947 0.871 O
0.651 0.262 0.660 O
0.744 0.138 0.377 O
0.770 0.797 0.371 O
0.800 0.444 0.282 O
0.802 0.834 0.073 O
0.864 0.188 0.845 O
0.878 0.206 0.115 O
0.939 0.559 0.887 O
0.941 0.948 0.678 O
0.968 0.595 0.590 O
```

Most intense lines, 15 to 90 degrees two-theta, by intensity:
hkl 2 2 0, d = 2.992 Å, 2θ 29.86, I = 100
hkl 0 1 3, d = 3.104 Å, 2θ 28.76, I = 89
hkl 2 0 2, d = 3.055 Å, 2θ 29.23, I = 76
hkl 0 2 2, d = 3.073 Å, 2θ 29.06, I = 71
hkl 0 0 2, d = 4.771 Å, 2θ 18.60, I = 65
hkl 1 -1 0, d = 4.222 Å, 2θ 21.04, I = 42
hkl 3 0 5, d = 1.615 Å, 2θ 57.01, I = 33
hkl 0 2 -2, d = 2.603 Å, 2θ 34.46, I = 23
hkl 3 3 0, d = 1.995 Å, 2θ 45.47, I = 23
hkl -1 2 3, d = 2.149 Å, 2θ 42.04, I = 17
hkl 2 0 -2, d = 2.572 Å, 2θ 34.88, I = 17
hkl 2 0 0, d = 3.424 Å, 2θ 26.02, I = 16